1.
Diffraction record for Mn2Fe3Cu10Sn5S20. The powder XRD pattern is computed, not measured: it uses a DFT-relaxed cell (PBE, Alexandria) and Cu Kα X-rays.
Intensities are scaled so that the largest is 1000.

Atomic structure:
a b c (Å): 14.978 14.978 14.978
angles (deg): 158.92 137.80 47.63
Element x y z (fractional)
1 Mn 0.200 0.200 0.000
2 Mn 0.800 0.800 0.000
3 Fe 0.000 0.000 0.000
4 Fe 0.400 0.400 0.000
5 Fe 0.600 0.600 0.000
6 Cu 0.051 0.304 0.754
7 Cu 0.152 0.898 0.249
8 Cu 0.252 0.500 0.752
9 Cu 0.351 0.102 0.254
10 Cu 0.450 0.696 0.747
11 Cu 0.550 0.297 0.246
12 Cu 0.649 0.903 0.751
13 Cu 0.748 0.500 0.248
14 Cu 0.848 0.097 0.746
15 Cu 0.949 0.703 0.253
16 Sn 0.098 0.598 0.500
17 Sn 0.301 0.801 0.500
18 Sn 0.500 0.000 0.500
19 Sn 0.699 0.199 0.500
20 Sn 0.902 0.402 0.500
21 S 0.016 0.394 0.108
22 S 0.086 0.721 0.900
23 S 0.113 0.006 0.622
24 S 0.179 0.279 0.365
25 S 0.223 0.588 0.103
26 S 0.286 0.908 0.892
27 S 0.316 0.214 0.636
28 S 0.384 0.491 0.378
29 S 0.422 0.786 0.102
30 S 0.485 0.120 0.897
31 S 0.515 0.412 0.635
32 S 0.578 0.680 0.364
33 S 0.616 0.994 0.107
34 S 0.684 0.320 0.898
35 S 0.714 0.606 0.622
36 S 0.777 0.880 0.365
37 S 0.821 0.187 0.100
38 S 0.887 0.509 0.893
39 S 0.914 0.813 0.635
40 S 0.984 0.092 0.378

Largest 8 diffraction maxima, in order of rising 2θ, 5 to 70 degrees two-theta:
d_spacing  intensity
4.886  67
3.147  1000
2.740  102
1.938  200
1.922  388
1.650  279
1.630  136
1.370  60


2.
Diffraction record for FeCuMo2. The powder XRD pattern is computed, not measured: it uses a DFT-relaxed cell (PBE, Alexandria) and Cu Kα X-rays.
Intensities are scaled so that the largest is 1000.

Atomic structure:
a b c (Å): 3.188 4.110 8.518
angles (deg): 90.00 90.00 90.00
Element x y z (fractional)
1 Fe 0.000 0.000 0.000
2 Fe 0.500 0.500 0.000
3 Cu 0.000 0.000 0.500
4 Cu 0.500 0.500 0.500
5 Mo 0.000 0.500 0.245
6 Mo 0.000 0.500 0.755
7 Mo 0.500 0.000 0.245
8 Mo 0.500 0.000 0.755

Largest 8 diffraction maxima, in order of rising 2θ, 5 to 70 degrees two-theta:
d_spacing  intensity
4.259  67
2.519  34
2.168  1000
2.130  235
2.055  212
1.626  18
1.594  90
1.479  138


3.
Diffraction record for FeCuN2. The powder XRD pattern is computed, not measured: it uses a DFT-relaxed cell (PBE, Alexandria) and Cu Kα X-rays.
Intensities are scaled so that the largest is 1000.

Atomic structure:
a b c (Å): 2.895 2.895 17.134
angles (deg): 90.00 90.00 120.00
Element x y z (fractional)
1 Fe 0.000 0.000 0.000
2 Fe 0.333 0.667 0.667
3 Fe 0.667 0.333 0.333
4 Cu 0.000 0.000 0.500
5 Cu 0.333 0.667 0.167
6 Cu 0.667 0.333 0.833
7 N 0.000 0.000 0.103
8 N 0.000 0.000 0.897
9 N 0.333 0.667 0.564
10 N 0.333 0.667 0.769
11 N 0.667 0.333 0.231
12 N 0.667 0.333 0.436

Largest 8 diffraction maxima, in order of rising 2θ, 5 to 70 degrees two-theta:
d_spacing  intensity
5.711  64
2.856  342
2.406  1000
2.164  448
1.628  286
1.447  218
1.428  53
1.415  199


4.
Diffraction record for Fe10CuN8. The powder XRD pattern is computed, not measured: it uses a DFT-relaxed cell (PBE, Alexandria) and Cu Kα X-rays.
Intensities are scaled so that the largest is 1000.

Atomic structure:
a b c (Å): 8.813 8.813 6.196
angles (deg): 107.74 107.74 24.74
Element x y z (fractional)
1 Fe 0.026 0.026 0.313
2 Fe 0.176 0.176 0.625
3 Fe 0.196 0.196 0.046
4 Fe 0.350 0.350 0.712
5 Fe 0.428 0.428 0.345
6 Fe 0.572 0.572 0.655
7 Fe 0.650 0.650 0.288
8 Fe 0.804 0.804 0.954
9 Fe 0.824 0.824 0.375
10 Fe 0.974 0.974 0.687
11 Cu 0.500 0.500 0.000
12 N 0.099 0.099 0.772
13 N 0.144 0.144 0.310
14 N 0.271 0.271 0.859
15 N 0.462 0.462 0.680
16 N 0.538 0.538 0.320
17 N 0.729 0.729 0.141
18 N 0.856 0.856 0.690
19 N 0.901 0.901 0.228

Largest 8 diffraction maxima, in order of rising 2θ, 5 to 70 degrees two-theta:
d_spacing  intensity
2.564  286
2.473  309
2.355  1000
2.161  323
2.109  463
1.962  415
1.888  705
1.721  286


5.
Diffraction record for Nb6FeCu. The powder XRD pattern is computed, not measured: it uses a DFT-relaxed cell (PBE, Alexandria) and Cu Kα X-rays.
Intensities are scaled so that the largest is 1000.

Atomic structure:
a b c (Å): 4.635 4.635 12.448
angles (deg): 90.00 90.00 90.00
Element x y z (fractional)
1 Nb 0.000 0.000 0.249
2 Nb 0.000 0.000 0.751
3 Nb 0.000 0.500 0.120
4 Nb 0.000 0.500 0.380
5 Nb 0.000 0.500 0.620
6 Nb 0.000 0.500 0.880
7 Nb 0.500 0.000 0.120
8 Nb 0.500 0.000 0.380
9 Nb 0.500 0.000 0.620
10 Nb 0.500 0.000 0.880
11 Nb 0.500 0.500 0.251
12 Nb 0.500 0.500 0.749
13 Fe 0.000 0.000 0.000
14 Fe 0.500 0.500 0.500
15 Cu 0.000 0.000 0.500
16 Cu 0.500 0.500 0.000

Largest 8 diffraction maxima, in order of rising 2θ, 5 to 70 degrees two-theta:
d_spacing  intensity
6.224  10
3.278  12
2.900  33
2.318  547
2.257  1000
1.639  181
1.556  73
1.546  13


6.
Diffraction record for Fe3CuNi9. The powder XRD pattern is computed, not measured: it uses a DFT-relaxed cell (PBE, Alexandria) and Cu Kα X-rays.
Intensities are scaled so that the largest is 1000.

Atomic structure:
a b c (Å): 4.626 4.645 8.287
angles (deg): 90.18 90.03 119.40
Element x y z (fractional)
1 Fe 0.000 0.000 0.000
2 Fe 0.000 0.500 0.006
3 Fe 0.500 0.500 0.514
4 Cu 0.999 0.000 0.516
5 Ni 0.000 0.500 0.509
6 Ni 0.166 0.330 0.258
7 Ni 0.170 0.344 0.760
8 Ni 0.499 0.999 0.404
9 Ni 0.500 0.000 0.821
10 Ni 0.500 0.500 0.007
11 Ni 0.501 0.001 0.125
12 Ni 0.829 0.656 0.760
13 Ni 0.834 0.671 0.258

Largest 8 diffraction maxima, in order of rising 2θ, 5 to 70 degrees two-theta:
d_spacing  intensity
2.072  531
2.022  1000
2.017  655
2.001  341
1.846  394
1.840  775
1.815  598
1.802  603


7.
Diffraction record for Fe2CuNi. The powder XRD pattern is computed, not measured: it uses a DFT-relaxed cell (PBE, Alexandria) and Cu Kα X-rays.
Intensities are scaled so that the largest is 1000.

Atomic structure:
a b c (Å): 3.623 3.623 7.071
angles (deg): 90.00 90.00 90.00
Element x y z (fractional)
1 Fe 0.000 0.000 0.000
2 Fe 0.000 0.500 0.250
3 Fe 0.500 0.000 0.750
4 Fe 0.500 0.500 0.500
5 Cu 0.000 0.000 0.500
6 Cu 0.500 0.500 0.000
7 Ni 0.000 0.500 0.750
8 Ni 0.500 0.000 0.250

Largest 4 diffraction maxima, in order of rising 2θ, 5 to 70 degrees two-theta:
d_spacing  intensity
3.224  7
2.075  1000
1.811  318
1.768  146


8.
Diffraction record for Fe4CuNi15. The powder XRD pattern is computed, not measured: it uses a DFT-relaxed cell (PBE, Alexandria) and Cu Kα X-rays.
Intensities are scaled so that the largest is 1000.

Atomic structure:
a b c (Å): 3.549 3.549 17.616
angles (deg): 90.00 90.00 90.00
Element x y z (fractional)
1 Fe 0.000 0.000 0.100
2 Fe 0.000 0.000 0.302
3 Fe 0.000 0.000 0.698
4 Fe 0.000 0.000 0.900
5 Cu 0.000 0.000 0.500
6 Ni 0.000 0.500 0.000
7 Ni 0.000 0.500 0.200
8 Ni 0.000 0.500 0.399
9 Ni 0.000 0.500 0.601
10 Ni 0.000 0.500 0.800
11 Ni 0.500 0.000 0.000
12 Ni 0.500 0.000 0.200
13 Ni 0.500 0.000 0.399
14 Ni 0.500 0.000 0.601
15 Ni 0.500 0.000 0.800
16 Ni 0.500 0.500 0.100
17 Ni 0.500 0.500 0.299
18 Ni 0.500 0.500 0.500
19 Ni 0.500 0.500 0.701
20 Ni 0.500 0.500 0.900

Largest 3 diffraction maxima, in order of rising 2θ, 5 to 70 degrees two-theta:
d_spacing  intensity
2.044  1000
1.775  312
1.762  152